1.
Theoretical XRD peak list of Ca3Ga2Ni9Ge for λ = 1.5418 Å (Cu Kα), from a DFT-relaxed cell (PBE, Alexandria).

Crystal structure
Cell lengths 6.0730, 6.0730, 8.3041 Å; angles 90.00, 90.00, 120.00 degrees
Sites, in units of the cell vectors:
Ca  0.0000  0.0000  0.0000
Ca  0.3333  0.6667  0.6736
Ca  0.6667  0.3333  0.3264
Ga  0.3333  0.6667  0.1877
Ga  0.6667  0.3333  0.8123
Ni  0.0000  0.5000  0.0000
Ni  0.1323  0.2645  0.2777
Ni  0.1323  0.8677  0.2777
Ni  0.2645  0.1323  0.7223
Ni  0.5000  0.0000  0.0000
Ni  0.5000  0.5000  0.0000
Ni  0.7355  0.8677  0.2777
Ni  0.8677  0.1323  0.7223
Ni  0.8677  0.7355  0.7223
Ge  0.0000  0.0000  0.5000

Most intense lines, 2θ from 10° to 90°, low angle first:
8.304 Å, rel. 16, hkl 0 0 1
4.443 Å, rel. 56, hkl 1 0 1
2.507 Å, rel. 35, hkl 0 2 1
2.222 Å, rel. 100, hkl 2 0 2
1.933 Å, rel. 35, hkl 1 0 4
1.793 Å, rel. 18, hkl 1 2 2
1.629 Å, rel. 19, hkl 0 2 4
1.518 Å, rel. 22, hkl 2 2 0

=====

2.
Theoretical XRD peak list of Ca2Ga2GeO7 for λ = 1.5418 Å (Cu Kα), from a DFT-relaxed cell (PBE, Alexandria).

Crystal structure
Cell lengths 5.2517, 7.9750, 7.9936 Å; angles 90.00, 91.44, 90.00 degrees
Sites, in units of the cell vectors:
Ca  0.0074  0.0000  0.3939
Ca  0.0260  0.3197  0.0730
Ca  0.9740  0.8197  0.9270
Ca  0.9926  0.5000  0.6061
Ga  0.4689  0.5244  0.8960
Ga  0.4988  0.6685  0.2540
Ga  0.5012  0.1685  0.7460
Ga  0.5311  0.0244  0.1040
Ge  0.4547  0.8130  0.6068
Ge  0.5453  0.3130  0.3932
O  0.1879  0.0249  0.1090
O  0.2155  0.3083  0.3895
O  0.2856  0.7539  0.4174
O  0.2876  0.3337  0.8235
O  0.2963  0.5698  0.0914
O  0.2995  0.0098  0.6350
O  0.3004  0.6845  0.7570
O  0.6996  0.1845  0.2430
O  0.7005  0.5098  0.3650
O  0.7037  0.0698  0.9086
O  0.7124  0.8337  0.1765
O  0.7144  0.2539  0.5826
O  0.7845  0.8083  0.6105
O  0.8121  0.5249  0.8910

Most intense lines, 2θ from 10° to 90°, low angle first:
5.250 Å, rel. 100, hkl 1 0 0
3.570 Å, rel. 56, hkl 0 1 2
2.985 Å, rel. 71, hkl 1 1 -2
2.966 Å, rel. 62, hkl 1 2 -1
2.936 Å, rel. 72, hkl 1 2 1
2.923 Å, rel. 62, hkl 1 1 2
2.524 Å, rel. 90, hkl 0 3 1
1.812 Å, rel. 31, hkl 2 3 1

=====

3.
Theoretical XRD peak list of CaGa2GePd for λ = 1.5418 Å (Cu Kα), from a DFT-relaxed cell (PBE, Alexandria).

Crystal structure
Cell lengths 4.1232, 4.2816, 10.9731 Å; angles 90.00, 90.00, 90.00 degrees
Sites, in units of the cell vectors:
Ca  0.0000  0.0000  0.0000
Ca  0.5000  0.5000  0.5000
Ga  0.0000  0.0000  0.3826
Ga  0.0000  0.5000  0.2512
Ga  0.5000  0.0000  0.7512
Ga  0.5000  0.5000  0.8826
Ge  0.0000  0.0000  0.6102
Ge  0.5000  0.5000  0.1102
Pd  0.0000  0.5000  0.7429
Pd  0.5000  0.0000  0.2429

Most intense lines, 2θ from 10° to 90°, low angle first:
5.487 Å, rel. 37, hkl 0 0 2
3.860 Å, rel. 16, hkl 1 0 1
2.737 Å, rel. 22, hkl 1 0 3
2.612 Å, rel. 100, hkl 1 1 2
2.141 Å, rel. 32, hkl 0 2 0
2.062 Å, rel. 29, hkl 2 0 0
2.015 Å, rel. 62, hkl 1 1 4
1.485 Å, rel. 19, hkl 2 2 0

=====

4.
Theoretical XRD peak list of SrCaGaGe for λ = 1.5418 Å (Cu Kα), from a DFT-relaxed cell (PBE, Alexandria).

Crystal structure
Cell lengths 4.2450, 4.5902, 11.5495 Å; angles 90.00, 90.00, 90.00 degrees
Sites, in units of the cell vectors:
Sr  0.0000  0.0000  0.0000
Sr  0.0000  0.5000  0.5000
Ca  0.5000  0.0000  0.2780
Ca  0.5000  0.5000  0.7780
Ga  0.0000  0.0000  0.7130
Ga  0.0000  0.5000  0.2130
Ge  0.5000  0.0000  0.5764
Ge  0.5000  0.5000  0.0764

Most intense lines, 2θ from 10° to 90°, low angle first:
5.775 Å, rel. 31, hkl 0 0 2
3.009 Å, rel. 100, hkl 1 1 1
2.950 Å, rel. 43, hkl 0 1 3
2.422 Å, rel. 87, hkl 1 1 3
2.387 Å, rel. 39, hkl 1 0 4
2.295 Å, rel. 33, hkl 0 2 0
2.123 Å, rel. 26, hkl 2 0 0
1.655 Å, rel. 25, hkl 1 2 4